(1)
# Cs3Ag3Br8
Theoretical powder diffraction line list, Cu Kα, 1.54184 Å. Input: a crystal structure in Alexandria, relaxed with PBE.
No peak broadening, texture or thermal motion is included.

Structural model:
a = 5.579 Å, b = 10.349 Å, c = 10.634 Å
α = 114.95°, β = 96.50°, γ = 98.05°
Fractional positions:
Cs1 0.000 0.000 0.000
Cs2 0.310 0.584 0.204
Cs3 0.690 0.416 0.796
Ag1 0.000 0.000 0.500
Ag2 0.291 0.648 0.628
Ag3 0.709 0.352 0.372
Br1 0.108 0.178 0.765
Br2 0.219 0.364 0.404
Br3 0.329 0.693 0.898
Br4 0.342 0.866 0.553
Br5 0.658 0.134 0.447
Br6 0.671 0.307 0.102
Br7 0.781 0.636 0.596
Br8 0.892 0.822 0.235

Largest 6 diffraction maxima, in order of rising 2θ, 2θ = 15–90°:
| 2θ (°) | I (rel.) |
| --- | --- |
| 20.7 | 85 |
| 24.7 | 62 |
| 25.5 | 58 |
| 26.3 | 100 |
| 30.2 | 52 |
| 32.4 | 90 |

(2)
# Tm2SnAu2
Theoretical powder diffraction line list, Cu Kα, 1.54184 Å. Input: a crystal structure in Alexandria, relaxed with PBE.
No peak broadening, texture or thermal motion is included.

Structural model:
a = 7.892 Å, b = 7.892 Å, c = 7.346 Å
α = 90.00°, β = 90.00°, γ = 90.00°
Fractional positions:
Tm1 0.155 0.155 0.000
Tm2 0.183 0.183 0.500
Tm3 0.317 0.683 0.000
Tm4 0.345 0.655 0.500
Tm5 0.655 0.345 0.500
Tm6 0.683 0.317 0.000
Tm7 0.817 0.817 0.500
Tm8 0.845 0.845 0.000
Sn1 0.000 0.500 0.250
Sn2 0.000 0.500 0.750
Sn3 0.500 0.000 0.250
Sn4 0.500 0.000 0.750
Au1 0.128 0.872 0.278
Au2 0.128 0.872 0.722
Au3 0.372 0.372 0.222
Au4 0.372 0.372 0.778
Au5 0.628 0.628 0.222
Au6 0.628 0.628 0.778
Au7 0.872 0.128 0.278
Au8 0.872 0.128 0.722

Largest 6 diffraction maxima, in order of rising 2θ, 2θ = 15–90°:
| 2θ (°) | I (rel.) |
| --- | --- |
| 15.9 | 14 |
| 33.3 | 17 |
| 35.3 | 100 |
| 36.0 | 43 |
| 62.8 | 14 |
| 69.0 | 14 |

(3)
# Sc8AlOs2
Theoretical powder diffraction line list, Cu Kα, 1.54184 Å. Input: a crystal structure in Alexandria, relaxed with PBE.
No peak broadening, texture or thermal motion is included.

Structural model:
a = 8.382 Å, b = 8.382 Å, c = 4.812 Å
α = 106.67°, β = 106.67°, γ = 122.24°
Fractional positions:
Sc1 0.000 0.000 0.000
Sc2 0.095 0.758 0.428
Sc3 0.180 0.593 0.887
Sc4 0.278 0.278 0.777
Sc5 0.458 0.683 0.571
Sc6 0.593 0.180 0.887
Sc7 0.683 0.458 0.571
Sc8 0.758 0.095 0.428
Al1 0.708 0.708 0.208
Os1 0.019 0.356 0.189
Os2 0.356 0.019 0.189

Largest 6 diffraction maxima, in order of rising 2θ, 2θ = 15–90°:
| 2θ (°) | I (rel.) |
| --- | --- |
| 22.7 | 56 |
| 23.0 | 43 |
| 26.0 | 57 |
| 37.4 | 43 |
| 38.1 | 100 |
| 43.8 | 33 |